No. 1
This entry pairs a crystal structure of AcMg2In3 with its theoretical X-ray diffraction stick pattern. Radiation: Cu Kα (weighted mean of Kα1 and Kα2). Structure: a PBE-relaxed structure.
Kinematic intensities with the Lorentz-polarization factor, no thermal factor.

Peak list (10 most intense, 2θ from 10° to 80°, most intense first)
| Position (°2θ) | Rel. int. | h k l |
| --- | --- | --- |
| 31.5 | 100 | 1 0 4 |
| 35.6 | 63 | 1 1 0 |
| 48.2 | 31 | 2 0 4 |
| 61.3 | 30 | 2 1 4 |
| 20.3 | 24 | 1 0 0 |
| 61.8 | 20 | 1 1 8 |
| 21.2 | 18 | 1 0 1 |
| 63.9 | 11 | 3 0 0 |
| 23.6 | 11 | 1 0 2 |
| 36.4 | 8 | 1 0 5 |

Structure:
abc: 5.0501 5.0501 14.9398
angles: 90.00 90.00 120.00
Space group P6_3/mmc (No. 194)
Inequivalent atoms, fractional coordinates:
Ac1 0.0000 0.0000 0.2500 x2
Mg1 0.3333 0.6667 0.0906 x4
In1 0.0000 0.0000 0.0000 x2
In2 0.3333 0.6667 0.6268 x4



No. 2
This entry pairs a crystal structure of ThMgCo2H8 with its theoretical X-ray diffraction stick pattern. Radiation: Cu Kα (weighted mean of Kα1 and Kα2). Structure: a PBE-relaxed structure.
Kinematic intensities with the Lorentz-polarization factor, no thermal factor.

Peak list (10 most intense, 2θ from 10° to 80°, most intense first)
| Position (°2θ) | Rel. int. | h k l |
| --- | --- | --- |
| 23.4 | 100 | 1 0 1 |
| 39.9 | 60 | 1 1 0 |
| 31.5 | 59 | 1 0 4 |
| 35.6 | 59 | 0 1 5 |
| 52.4 | 38 | 1 1 6 |
| 25.2 | 31 | 0 1 2 |
| 32.6 | 24 | 0 0 6 |
| 54.5 | 18 | 2 0 5 |
| 69.7 | 17 | 1 2 5 |
| 61.0 | 17 | 1 0 10 |

Structure:
abc: 4.5185 4.5185 16.4811
angles: 90.00 90.00 120.00
Space group R-3 (No. 148, hexagonal axes)
Inequivalent atoms, fractional coordinates:
Th1 0.0000 0.0000 0.0000 x3
Mg1 0.0000 0.0000 0.5000 x3
Co1 0.0000 0.0000 0.1945 x6
H1 0.0000 0.0000 0.3010 x6
H2 0.0303 0.7509 0.8804 x18



No. 3
This entry pairs a crystal structure of CeNd2Er6 with its theoretical X-ray diffraction stick pattern. Radiation: Cu Kα (weighted mean of Kα1 and Kα2). Structure: a PBE-relaxed structure.
Kinematic intensities with the Lorentz-polarization factor, no thermal factor.

Peak list (10 most intense, 2θ from 10° to 80°, most intense first)
| Position (°2θ) | Rel. int. | h k l |
| --- | --- | --- |
| 31.9 | 100 | 3 0 0 |
| 31.4 | 83 | 1 1 1 |
| 45.4 | 28 | 4 -2 1 |
| 56.6 | 27 | 4 1 1 |
| 56.9 | 19 | 3 3 0 |
| 62.4 | 18 | 0 3 2 |
| 33.2 | 15 | 2 0 1 |
| 66.7 | 13 | 6 0 0 |
| 38.2 | 13 | 3 -2 1 |
| 54.3 | 11 | 2 3 1 |

Structure:
abc: 9.7090 9.7090 3.5108
angles: 90.00 90.00 120.00
Space group P-3 (No. 147)
Inequivalent atoms, fractional coordinates:
Ce1 0.0000 0.0000 0.0000 x1
Nd1 0.3333 0.6667 0.2362 x2
Er1 0.0218 0.3485 0.7307 x6



No. 4
This entry pairs a crystal structure of Ba5Sr4Tl2 with its theoretical X-ray diffraction stick pattern. Radiation: Cu Kα (weighted mean of Kα1 and Kα2). Structure: a PBE-relaxed structure.
Kinematic intensities with the Lorentz-polarization factor, no thermal factor.

Peak list (10 most intense, 2θ from 10° to 80°, most intense first)
| Position (°2θ) | Rel. int. | h k l |
| --- | --- | --- |
| 27.1 | 100 | 1 7 0 |
| 28.3 | 74 | 2 3 1 |
| 26.2 | 73 | 1 4 1 |
| 25.4 | 36 | 3 1 0 |
| 28.4 | 31 | 1 5 1 |
| 40.3 | 25 | 0 0 2 |
| 47.0 | 25 | 3 9 1 |
| 13.8 | 23 | 1 3 0 |
| 49.3 | 23 | 1 7 2 |
| 31.0 | 20 | 1 6 1 |

Structure:
abc: 10.6406 24.2276 4.4706
angles: 90.00 90.00 90.00
Space group Pbam (No. 55)
Inequivalent atoms, fractional coordinates:
Ba1 0.0000 0.0000 0.0000 x2
Ba2 0.1565 0.3965 0.0000 x4
Ba3 0.1962 0.7176 0.0000 x4
Sr1 0.0191 0.8465 0.5000 x4
Sr2 0.1698 0.5568 0.5000 x4
Tl1 0.0830 0.2899 0.5000 x4



No. 5
This entry pairs a crystal structure of Mg9Si5 with its theoretical X-ray diffraction stick pattern. Radiation: Cu Kα (weighted mean of Kα1 and Kα2). Structure: a PBE-relaxed structure.
Kinematic intensities with the Lorentz-polarization factor, no thermal factor.

Peak list (10 most intense, 2θ from 10° to 80°, most intense first)
| Position (°2θ) | Rel. int. | h k l |
| --- | --- | --- |
| 38.5 | 100 | 2 2 4 |
| 43.3 | 95 | 0 0 6 |
| 43.7 | 91 | 3 3 1 |
| 38.4 | 77 | 1 3 1 |
| 34.6 | 76 | 1 2 -3 |
| 37.1 | 60 | 0 2 -3 |
| 32.9 | 57 | 1 -1 3 |
| 35.1 | 56 | 2 0 3 |
| 34.9 | 51 | 0 2 3 |
| 36.9 | 50 | 2 0 -3 |

Structure:
abc: 7.1829 7.1867 12.6316
angles: 84.18 84.51 60.05
Space group P1 (No. 1)
Inequivalent atoms, fractional coordinates:
Mg1 0.0000 0.0000 0.0000 x1
Mg2 0.0006 0.1521 0.3824 x1
Mg3 0.0384 0.6710 0.8525 x1
Mg4 0.1343 0.7147 0.5251 x1
Mg5 0.1651 0.7729 0.2192 x1
Mg6 0.2626 0.1914 0.2091 x1
Mg7 0.2709 0.1674 0.8608 x1
Mg8 0.3188 0.1476 0.5283 x1
Mg9 0.4010 0.4234 0.0311 x1
Mg10 0.4549 0.3770 0.6938 x1
Mg11 0.5036 0.3933 0.3388 x1
Mg12 0.6175 0.8194 0.0054 x1
Mg13 0.6990 0.8587 0.6886 x1
Mg14 0.7172 0.5346 0.5266 x1
Mg15 0.7303 0.8992 0.3756 x1
Mg16 0.7606 0.6175 0.2248 x1
Mg17 0.7626 0.4344 0.8573 x1
Mg18 0.9707 0.0987 0.6884 x1
Si1 0.0409 0.4425 0.6899 x1
Si2 0.0802 0.4878 0.3711 x1
Si3 0.3572 0.7543 0.8734 x1
Si4 0.3760 0.7825 0.6747 x1
Si5 0.4047 0.8101 0.3809 x1
Si6 0.6739 0.0345 0.1639 x1
Si7 0.6903 0.0921 0.8548 x1
Si8 0.7142 0.1417 0.5257 x1
Si9 0.8645 0.2255 0.1783 x1
Si10 0.9948 0.4023 0.0311 x1



No. 6
This entry pairs a crystal structure of Nb3VRu4 with its theoretical X-ray diffraction stick pattern. Radiation: Cu Kα (weighted mean of Kα1 and Kα2). Structure: a PBE-relaxed structure.
Kinematic intensities with the Lorentz-polarization factor, no thermal factor.

Peak list (10 most intense, 2θ from 10° to 80°, most intense first)
| Position (°2θ) | Rel. int. | h k l |
| --- | --- | --- |
| 39.9 | 100 | 1 0 4 |
| 42.4 | 45 | 1 1 0 |
| 75.8 | 29 | 2 1 4 |
| 61.5 | 15 | 2 0 0 |
| 70.7 | 14 | 1 1 8 |
| 53.8 | 8 | 0 0 8 |
| 35.7 | 4 | 1 0 3 |
| 32.4 | 3 | 1 0 2 |
| 64.8 | 3 | 1 1 7 |
| 59.4 | 2 | 1 1 6 |

Structure:
abc: 3.0170 3.0170 13.6398
angles: 90.00 90.00 90.00
Space group P4/mmm (No. 123)
Inequivalent atoms, fractional coordinates:
Nb1 0.0000 0.0000 0.0000 x1
Nb2 0.0000 0.0000 0.2570 x2
V1 0.0000 0.0000 0.5000 x1
Ru1 0.5000 0.5000 0.1232 x2
Ru2 0.5000 0.5000 0.3941 x2